Simulated powder X-ray diffraction pattern
Compound: Mg3In3Pd
Radiation: CuKα
Structure: a crystal structure in Alexandria, relaxed with GGA-PBE

Largest 12 diffraction maxima, low angle first, 10° ≤ 2θ ≤ 90°:
2θ (°), intensity, index
23.0, 69.2, 2 0 0
30.6, 53.5, 2 0 1
36.8, 100.0, 2 1 1
40.3, 23.0, 0 0 2
40.5, 41.4, 2 2 0
47.0, 9.5, 2 0 2
47.1, 15.0, 4 0 0
58.5, 24.4, 2 2 2
63.9, 21.4, 5 0 1
71.0, 13.8, 2 1 3
78.4, 8.2, 4 3 1
80.8, 8.6, 5 2 1

Cell lengths 8.9004, 8.9004, 4.4743 Å; angles 90.00, 90.00, 120.00 degrees
Space group P6_3/mmc (No. 194)
Symmetry-distinct sites (fractional):
Mg (0.1144, 0.5572, 0.2500) x6
In (0.1471, 0.2942, 0.7500) x6
Pd (0.3333, 0.6667, 0.7500) x2

=====

Simulated powder X-ray diffraction pattern
Compound: Mg2In3Pd
Radiation: CuKα
Structure: a crystal structure in Alexandria, relaxed with GGA-PBE

Largest 12 diffraction maxima, low angle first, 10° ≤ 2θ ≤ 90°:
2θ (°), intensity, index
19.5, 18.2, 0 0 2
21.8, 67.1, 0 1 1
27.4, 75.1, 1 0 0
33.9, 24.1, 1 0 2
35.3, 85.5, 1 1 1
35.5, 100.0, 0 1 3
39.4, 45.9, 0 2 0
45.4, 75.4, 1 1 3
48.7, 30.4, 1 2 0
48.8, 18.9, 1 0 4
64.5, 16.3, 1 2 4
68.6, 27.6, 2 1 3

Cell lengths 3.251, 4.572, 9.107 Å; angles 90.00, 90.00, 90.00 degrees
Space group Pmm2 (No. 25)
Symmetry-distinct sites (fractional):
Mg (0.000, 0.000, 0.000) x1
Mg (0.000, 0.500, 0.398) x1
In (0.500, 0.000, 0.581) x1
In (0.500, 0.500, 0.115) x1
In (0.500, 0.500, 0.788) x1
Pd (0.500, 0.000, 0.283) x1

=====

Simulated powder X-ray diffraction pattern
Compound: Mg8InPd2
Radiation: CuKα
Structure: a crystal structure in Alexandria, relaxed with GGA-PBE

Largest 12 diffraction maxima, low angle first, 10° ≤ 2θ ≤ 90°:
2θ (°), intensity, index
22.4, 100.0, 0 1 1
23.2, 94.2, 1 -1 0
23.3, 93.0, 1 1 -1
23.6, 88.0, 0 1 -2
25.2, 59.0, 0 2 -1
27.5, 95.8, 1 0 -2
35.4, 56.5, 1 -1 2
35.5, 55.8, 1 1 -3
36.9, 98.1, -1 2 1
37.0, 97.2, 1 2 0
38.5, 41.4, 1 2 -3
39.5, 92.1, 2 0 -1

Cell lengths 4.558, 7.065, 7.934 Å; angles 113.32, 106.50, 90.31 degrees
Space group P1 (No. 1)
Symmetry-distinct sites (fractional):
Mg (0.000, 0.000, 0.000) x1
Mg (0.060, 0.467, 0.123) x1
Mg (0.204, 0.987, 0.411) x1
Mg (0.352, 0.805, 0.703) x1
Mg (0.414, 0.270, 0.832) x1
Mg (0.645, 0.195, 0.291) x1
Mg (0.709, 0.659, 0.419) x1
Mg (0.856, 0.478, 0.712) x1
In (0.529, 0.733, 0.061) x1
Pd (0.222, 0.397, 0.445) x1
Pd (0.837, 0.067, 0.677) x1